1.
# Rb3SCl
Computed powder XRD pattern, Cu Kα (λ = 1.5418 Å). Input: a cell relaxed with PBE.
Intensities are scaled so that the largest is 100.

Cell and atoms:
```
Rb3SCl
1.0
8.2226 -5.8578 0.0000
8.2226 5.8578 0.0000
-0.3307 0.0000 8.7584
Rb S Cl
12 4 4
direct
0.0021 0.2062 0.4043
0.0063 0.3746 0.8378
0.2062 0.0021 0.9043
0.3510 0.4029 0.4293
0.3746 0.0063 0.3378
0.4029 0.3510 0.9293
0.5971 0.6490 0.0707
0.6254 0.9937 0.6622
0.6490 0.5971 0.5707
0.7938 0.9979 0.0957
0.9937 0.6254 0.1622
0.9979 0.7938 0.5957
0.1879 0.2912 0.1530
0.2912 0.1879 0.6530
0.7088 0.8121 0.3470
0.8121 0.7088 0.8470
0.1241 0.8759 0.2500
0.3471 0.6529 0.7500
0.6529 0.3471 0.2500
0.8759 0.1241 0.7500
```

Peak list (12 most intense, 15 to 90 degrees two-theta, in order of rising 2θ)
- d = 4.382 Å, 2θ = 20.3°, I 100.0
- d = 4.013 Å, 2θ = 22.1°, I 61.6
- d = 3.801 Å, 2θ = 23.4°, I 56.4
- d = 3.502 Å, 2θ = 25.4°, I 53.2
- d = 3.229 Å, 2θ = 27.6°, I 78.9
- d = 3.180 Å, 2θ = 28.1°, I 53.1
- d = 3.108 Å, 2θ = 28.7°, I 54.8
- d = 2.968 Å, 2θ = 30.1°, I 43.9
- d = 2.942 Å, 2θ = 30.4°, I 43.2
- d = 2.777 Å, 2θ = 32.2°, I 54.5
- d = 2.612 Å, 2θ = 34.3°, I 43.8
- d = 2.409 Å, 2θ = 37.3°, I 37.1

2.
# Rb2TcSCl6
Computed powder XRD pattern, Cu Kα (λ = 1.5418 Å). Input: a cell relaxed with PBE.
Intensities are scaled so that the largest is 100.

Cell and atoms:
```
Rb2TcSCl6
1.0
-4.0421 4.0421 4.5469
4.0421 -4.0421 4.5469
4.0421 4.0421 -4.5469
Rb Tc S Cl
2 1 1 6
direct
0.2500 0.7500 0.5000
0.7500 0.2500 0.5000
0.0000 0.0000 0.0000
0.5000 0.5000 0.0000
0.2103 0.2103 0.4206
0.2103 0.7897 0.0000
0.2557 0.2557 0.0000
0.7443 0.7443 0.0000
0.7897 0.2103 0.0000
0.7897 0.7897 0.5794
```

Peak list (12 most intense, 15 to 90 degrees two-theta, in order of rising 2θ)
- d = 4.042 Å, 2θ = 22.0°, I 64.5
- d = 3.558 Å, 2θ = 25.0°, I 87.4
- d = 3.021 Å, 2θ = 29.6°, I 55.4
- d = 2.858 Å, 2θ = 31.3°, I 100.0
- d = 2.273 Å, 2θ = 39.6°, I 28.3
- d = 2.228 Å, 2θ = 40.5°, I 36.8
- d = 2.021 Å, 2θ = 44.8°, I 29.8
- d = 1.982 Å, 2θ = 45.8°, I 18.0
- d = 1.808 Å, 2θ = 50.5°, I 19.9
- d = 1.779 Å, 2θ = 51.4°, I 44.5
- d = 1.510 Å, 2θ = 61.4°, I 22.2
- d = 1.415 Å, 2θ = 66.0°, I 17.4

3.
# RbTl2SCl
Computed powder XRD pattern, Cu Kα (λ = 1.5418 Å). Input: a cell relaxed with PBE.
Intensities are scaled so that the largest is 100.

Cell and atoms:
```
RbTl2SCl
1.0
8.0143 0.0000 0.0000
0.0000 4.0962 0.0000
-0.8109 0.0000 10.5514
Rb Tl S Cl
2 4 2 2
direct
0.2331 0.2500 0.0033
0.7669 0.7500 0.9967
0.1064 0.7500 0.6414
0.3289 0.2500 0.3700
0.6711 0.7500 0.6300
0.8936 0.2500 0.3586
0.0993 0.7500 0.2408
0.9007 0.2500 0.7592
0.4136 0.7500 0.8245
0.5864 0.2500 0.1755
```

Peak list (12 most intense, 15 to 90 degrees two-theta, in order of rising 2θ)
- d = 3.835 Å, 2θ = 23.2°, I 32.0
- d = 3.819 Å, 2θ = 23.3°, I 100.0
- d = 3.517 Å, 2θ = 25.3°, I 63.6
- d = 3.310 Å, 2θ = 26.9°, I 38.3
- d = 3.235 Å, 2θ = 27.6°, I 97.1
- d = 3.074 Å, 2θ = 29.1°, I 79.1
- d = 2.860 Å, 2θ = 31.3°, I 62.2
- d = 2.800 Å, 2θ = 32.0°, I 47.9
- d = 2.746 Å, 2θ = 32.6°, I 33.9
- d = 2.634 Å, 2θ = 34.0°, I 30.7
- d = 2.233 Å, 2θ = 40.4°, I 31.8
- d = 2.048 Å, 2θ = 44.2°, I 34.6

4.
# Rb2WS2Cl4
Computed powder XRD pattern, Cu Kα (λ = 1.5418 Å). Input: a cell relaxed with PBE.
Intensities are scaled so that the largest is 100.

Cell and atoms:
```
Rb2WS2Cl4
1.0
6.1585 -3.5798 0.0000
6.1585 3.5798 0.0000
-0.7733 0.0000 6.1526
Rb W S Cl
2 1 2 4
direct
0.1765 0.1765 0.2460
0.8235 0.8235 0.7540
0.5000 0.5000 0.0000
0.3475 0.3475 0.7568
0.6525 0.6525 0.2432
0.1826 0.6616 0.2082
0.3384 0.8174 0.7918
0.6616 0.1826 0.2082
0.8174 0.3384 0.7918
```

Peak list (12 most intense, 15 to 90 degrees two-theta, in order of rising 2θ)
- d = 4.634 Å, 2θ = 19.2°, I 51.0
- d = 4.228 Å, 2θ = 21.0°, I 84.0
- d = 3.580 Å, 2θ = 24.9°, I 26.0
- d = 3.541 Å, 2θ = 25.2°, I 54.6
- d = 3.224 Å, 2θ = 27.7°, I 26.2
- d = 2.832 Å, 2θ = 31.6°, I 100.0
- d = 2.689 Å, 2θ = 33.3°, I 23.7
- d = 2.610 Å, 2θ = 34.4°, I 37.5
- d = 2.252 Å, 2θ = 40.0°, I 48.2
- d = 1.770 Å, 2θ = 51.6°, I 25.6
- d = 1.661 Å, 2θ = 55.3°, I 20.3
- d = 1.477 Å, 2θ = 62.9°, I 16.2

5.
# RbSbCl14
Computed powder XRD pattern, Cu Kα (λ = 1.5418 Å). Input: a cell relaxed with PBE.
Intensities are scaled so that the largest is 100.

Cell and atoms:
```
RbSbCl14
1.0
8.2620 0.0000 0.0000
-3.1959 8.1825 0.0000
-4.0703 -2.3626 9.9119
Rb Sb Cl
1 1 14
direct
0.0000 0.0000 0.0000
0.5293 0.1110 0.3947
0.0235 0.1863 0.7267
0.0829 0.4355 0.7780
0.1340 0.7705 0.8376
0.2538 0.8528 0.2592
0.3899 0.2838 0.2726
0.4387 0.0000 0.9063
0.4434 0.1439 0.5737
0.5821 0.7703 0.4800
0.6037 0.7643 0.0475
0.7087 0.5973 0.1210
0.7214 0.2140 0.9669
0.8285 0.7815 0.6329
0.8701 0.3432 0.2464
0.9811 0.4376 0.4497
```

Peak list (12 most intense, 15 to 90 degrees two-theta, in order of rising 2θ)
- d = 5.219 Å, 2θ = 17.0°, I 71.7
- d = 4.805 Å, 2θ = 18.5°, I 100.0
- d = 4.511 Å, 2θ = 19.7°, I 51.8
- d = 4.322 Å, 2θ = 20.5°, I 37.5
- d = 3.831 Å, 2θ = 23.2°, I 63.4
- d = 3.654 Å, 2θ = 24.4°, I 28.4
- d = 3.534 Å, 2θ = 25.2°, I 32.8
- d = 3.239 Å, 2θ = 27.5°, I 29.0
- d = 3.159 Å, 2θ = 28.2°, I 56.0
- d = 3.041 Å, 2θ = 29.4°, I 36.7
- d = 2.726 Å, 2θ = 32.9°, I 42.6
- d = 2.601 Å, 2θ = 34.5°, I 31.6

6.
# Rb3Sb2Cl9
Computed powder XRD pattern, Cu Kα (λ = 1.5418 Å). Input: a cell relaxed with PBE.
Intensities are scaled so that the largest is 100.

Cell and atoms:
```
Rb3Sb2Cl9
1.0
6.4611 3.7303 6.4337
-6.4611 3.7303 6.4337
0.0000 -7.4606 6.4337
Rb Sb Cl
6 4 18
direct
0.0774 0.7500 0.4226
0.2500 0.5774 0.9226
0.4226 0.0774 0.7500
0.5774 0.9226 0.2500
0.7500 0.4226 0.0774
0.9226 0.2500 0.5774
0.1548 0.1548 0.1548
0.3452 0.3452 0.3452
0.6548 0.6548 0.6548
0.8452 0.8452 0.8452
0.0756 0.4244 0.2500
0.0811 0.9084 0.7473
0.0916 0.2527 0.9189
0.2473 0.4084 0.5811
0.2500 0.0756 0.4244
0.2527 0.9189 0.0916
0.4084 0.5811 0.2473
0.4189 0.7527 0.5916
0.4244 0.2500 0.0756
0.5756 0.7500 0.9244
0.5811 0.2473 0.4084
0.5916 0.4189 0.7527
0.7473 0.0811 0.9084
0.7500 0.9244 0.5756
0.7527 0.5916 0.4189
0.9084 0.7473 0.0811
0.9189 0.0916 0.2527
0.9244 0.5756 0.7500
```

Peak list (12 most intense, 15 to 90 degrees two-theta, in order of rising 2θ)
- d = 4.559 Å, 2θ = 19.5°, I 13.5
- d = 4.431 Å, 2θ = 20.0°, I 15.4
- d = 3.730 Å, 2θ = 23.9°, I 42.6
- d = 3.181 Å, 2θ = 28.1°, I 12.3
- d = 2.885 Å, 2θ = 31.0°, I 100.0
- d = 2.280 Å, 2θ = 39.5°, I 43.0
- d = 1.945 Å, 2θ = 46.7°, I 14.8
- d = 1.865 Å, 2θ = 48.8°, I 25.0
- d = 1.787 Å, 2θ = 51.1°, I 15.6
- d = 1.566 Å, 2θ = 59.0°, I 18.1
- d = 1.218 Å, 2θ = 78.5°, I 9.8
- d = 1.200 Å, 2θ = 80.0°, I 9.8

7.
# Rb3Sb2Cl8
Computed powder XRD pattern, Cu Kα (λ = 1.5418 Å). Input: a cell relaxed with PBE.
Intensities are scaled so that the largest is 100.

Cell and atoms:
```
Rb3Sb2Cl8
1.0
7.9854 0.0000 0.0000
2.9938 7.4111 0.0000
3.2820 2.2180 8.3219
Rb Sb Cl
3 2 8
direct
0.0000 0.0000 0.0000
0.1793 0.1800 0.3853
0.8207 0.8200 0.6147
0.4641 0.4642 0.6978
0.5359 0.5358 0.3022
0.2016 0.7875 0.7034
0.2131 0.7991 0.2964
0.2804 0.2823 0.6742
0.3389 0.3390 0.0003
0.6611 0.6610 0.9997
0.7196 0.7177 0.3258
0.7869 0.2009 0.7036
0.7984 0.2125 0.2966
```

Peak list (12 most intense, 15 to 90 degrees two-theta, in order of rising 2θ)
- d = 4.468 Å, 2θ = 19.9°, I 100.0
- d = 4.086 Å, 2θ = 21.7°, I 68.7
- d = 3.954 Å, 2θ = 22.5°, I 99.8
- d = 3.151 Å, 2θ = 28.3°, I 23.3
- d = 3.018 Å, 2θ = 29.6°, I 31.1
- d = 2.886 Å, 2θ = 31.0°, I 36.2
- d = 2.774 Å, 2θ = 32.3°, I 44.0
- d = 2.690 Å, 2θ = 33.3°, I 31.0
- d = 2.498 Å, 2θ = 35.9°, I 26.0
- d = 2.468 Å, 2θ = 36.4°, I 36.3
- d = 2.357 Å, 2θ = 38.2°, I 25.2
- d = 2.234 Å, 2θ = 40.4°, I 28.7

8.
# RbVSbCl6
Computed powder XRD pattern, Cu Kα (λ = 1.5418 Å). Input: a cell relaxed with PBE.
Intensities are scaled so that the largest is 100.

Cell and atoms:
```
RbVSbCl6
1.0
6.7954 0.0000 0.0000
-3.3977 5.8850 0.0000
0.0000 0.0000 7.3031
Rb V Sb Cl
1 1 1 6
direct
0.0000 0.0000 0.0000
0.6667 0.3333 0.5000
0.3333 0.6667 0.5000
0.3829 0.0217 0.3012
0.3829 0.3612 0.6988
0.6388 0.0217 0.6988
0.6388 0.6171 0.3012
0.9783 0.3612 0.3012
0.9783 0.6171 0.6988
```

Peak list (12 most intense, 15 to 90 degrees two-theta, in order of rising 2θ)
- d = 4.582 Å, 2θ = 19.4°, I 100.0
- d = 3.398 Å, 2θ = 26.2°, I 15.7
- d = 3.081 Å, 2θ = 29.0°, I 31.6
- d = 2.729 Å, 2θ = 32.8°, I 20.3
- d = 2.487 Å, 2θ = 36.1°, I 69.7
- d = 2.250 Å, 2θ = 40.1°, I 11.7
- d = 2.128 Å, 2θ = 42.5°, I 27.5
- d = 1.962 Å, 2θ = 46.3°, I 23.9
- d = 1.876 Å, 2θ = 48.5°, I 12.1
- d = 1.608 Å, 2θ = 57.3°, I 10.9
- d = 1.593 Å, 2θ = 57.9°, I 12.4
- d = 1.540 Å, 2θ = 60.1°, I 12.7

9.
# RbSeCl3
Computed powder XRD pattern, Cu Kα (λ = 1.5418 Å). Input: a cell relaxed with PBE.
Intensities are scaled so that the largest is 100.

Cell and atoms:
```
RbSeCl3
1.0
5.7396 0.0000 0.0000
0.0275 7.3446 0.0000
0.6487 3.6608 8.7185
Rb Se Cl
2 2 6
direct
0.2118 0.1535 0.1939
0.7882 0.8465 0.8061
0.1618 0.4073 0.6849
0.8382 0.5927 0.3151
0.0013 0.7425 0.4996
0.2834 0.0929 0.8448
0.2854 0.5612 0.8441
0.7146 0.4388 0.1559
0.7166 0.9071 0.1552
0.9987 0.2575 0.5004
```

Peak list (12 most intense, 15 to 90 degrees two-theta, in order of rising 2θ)
- d = 5.724 Å, 2θ = 15.5°, I 37.1
- d = 4.633 Å, 2θ = 19.2°, I 33.8
- d = 4.558 Å, 2θ = 19.5°, I 24.9
- d = 4.433 Å, 2θ = 20.0°, I 44.2
- d = 4.359 Å, 2θ = 20.4°, I 33.5
- d = 4.311 Å, 2θ = 20.6°, I 100.0
- d = 3.670 Å, 2θ = 24.3°, I 23.5
- d = 3.471 Å, 2θ = 25.7°, I 33.1
- d = 2.809 Å, 2θ = 31.9°, I 29.6
- d = 2.569 Å, 2θ = 34.9°, I 87.1
- d = 2.489 Å, 2θ = 36.1°, I 24.7
- d = 2.317 Å, 2θ = 38.9°, I 30.6